Computed XRD peak list of SrCoNO for Cu Kα, 1.54184 Å, from DFT lattice parameters and positions (PBE+U).
Intensities are scaled so that the largest is 100.

Cell and atoms:
```
data_SrCoNO
_chemical_formula_sum 'Sr4 Co4 N4 O4'
_cell_length_a 5.2294
_cell_length_b 7.6116
_cell_length_c 5.2264
_cell_angle_alpha 90.00
_cell_angle_beta 90.00
_cell_angle_gamma 90.00
_symmetry_space_group_name_H-M 'P c a 21'
_symmetry_Int_Tables_number 29
loop_
_symmetry_equiv_pos_as_xyz
'x,y,z'
'-x,-y,z+1/2'
'-x+1/2,y,z+1/2'
'x+1/2,-y,z'
loop_
_atom_site_label
_atom_site_type_symbol
_atom_site_fract_x
_atom_site_fract_y
_atom_site_fract_z
Sr1 Sr 0.0112 0.1743 0.0000
Co1 Co 0.0183 0.5867 0.0003
N1 N 0.2345 0.4823 0.2523
O1 O 0.0130 0.8513 0.0070
```

Peak list (12 most intense, 15 to 90 degrees two-theta, by intensity)
| d (Å) | I_rel | index |
| --- | --- | --- |
| 2.652 | 100 | 1 2 1 |
| 2.614 | 91 | 0 0 2 |
| 1.848 | 41 | 2 0 2 |
| 1.516 | 35 | 1 2 3 |
| 2.092 | 25 | 1 3 1 |
| 2.537 | 23 | 0 3 0 |
| 1.821 | 19 | 0 3 2 |
| 3.325 | 15 | 1 1 1 |
| 1.494 | 15 | 2 3 2 |
| 1.315 | 13 | 0 5 2 |
| 1.169 | 12 | 2 0 4 |
| 1.307 | 12 | 0 0 4 |